For InHg7S6Cl5, the GGA-PBE geometry in Alexandria gives the computed X-ray powder pattern in this record (λ = 1.5418 Å (Cu Kα)).

Most intense lines, 2θ from 10° to 90°, low angle first:
Position (°2θ), I/Imax
19.4, 28.2
20.5, 100.0
24.6, 32.8
25.9, 27.5
27.0, 42.9
27.7, 77.1
28.0, 38.2
29.8, 43.4
31.1, 27.2
36.6, 33.5

Structural model:
Unit cell a=7.626 b=10.954 c=14.034 alpha=68.46 beta=75.20 gamma=88.19
Fractional positions:
In 0.072 0.355 0.323
In 0.928 0.645 0.677
Hg 0.130 0.213 0.059
Hg 0.141 0.895 0.341
Hg 0.190 0.392 0.570
Hg 0.211 0.877 0.060
Hg 0.342 0.464 0.775
Hg 0.351 0.956 0.774
Hg 0.500 0.000 0.500
Hg 0.500 0.500 0.000
Hg 0.649 0.044 0.226
Hg 0.658 0.536 0.225
Hg 0.789 0.123 0.940
Hg 0.810 0.608 0.430
Hg 0.859 0.105 0.659
Hg 0.870 0.787 0.941
S 0.121 0.221 0.515
S 0.198 0.775 0.934
S 0.270 0.576 0.608
S 0.298 0.005 0.149
S 0.429 0.339 0.935
S 0.470 0.886 0.389
S 0.530 0.114 0.611
S 0.571 0.661 0.065
S 0.702 0.995 0.851
S 0.730 0.424 0.392
S 0.802 0.225 0.066
S 0.879 0.779 0.485
Cl 0.050 0.460 0.133
Cl 0.077 0.862 0.660
Cl 0.164 0.173 0.835
Cl 0.207 0.566 0.326
Cl 0.393 0.294 0.254
Cl 0.607 0.706 0.746
Cl 0.793 0.434 0.674
Cl 0.836 0.827 0.165
Cl 0.923 0.138 0.340
Cl 0.950 0.540 0.867